# KCaCeNbO6
Calculated PXRD pattern, copper Kα. Input: the GGA-PBE geometry in the Materials Project.

Largest 8 diffraction maxima, by angle, 2θ = 10–90°:
2theta  I/Imax
20.97  51
29.82  100
42.68  38
48.02  22
52.94  39
61.95  22
70.26  17
85.82  20

Cell and atoms:
abc: 5.9914 5.9914 5.9914
angles: 60.00 60.00 60.00
Element x y z (fractional)
1 K 0.0000 0.0000 0.0000
2 Ca 0.5000 0.5000 0.5000
3 Ce 0.7500 0.7500 0.7500
4 Nb 0.2500 0.2500 0.2500
5 O 0.0126 0.0126 0.4874
6 O 0.0126 0.4874 0.0126
7 O 0.0126 0.4874 0.4874
8 O 0.4874 0.0126 0.0126
9 O 0.4874 0.0126 0.4874
10 O 0.4874 0.4874 0.0126


# CuP3NO9
Calculated PXRD pattern, copper Kα. Input: the GGA-PBE geometry in the Materials Project.

Largest 8 diffraction maxima, by angle, 2θ = 10–90°:
2theta  I/Imax
13.61  100
15.42  32
16.87  50
23.43  22
25.27  34
25.45  22
28.74  21
29.80  49

Cell and atoms:
abc: 5.1667 11.4901 13.2362
angles: 90.00 100.46 90.00
Element x y z (fractional)
1 Cu 0.0000 0.0000 0.0000
2 Cu 0.0000 0.0000 0.5000
3 Cu 0.0000 0.5000 0.0000
4 Cu 0.0000 0.5000 0.5000
5 P 0.2490 0.2472 0.0082
6 P 0.2490 0.2528 0.5082
7 P 0.4741 0.0887 0.8709
8 P 0.4741 0.4113 0.3709
9 P 0.4826 0.5796 0.8502
10 P 0.4826 0.9204 0.3502
11 P 0.5174 0.0796 0.6498
12 P 0.5174 0.4204 0.1498
13 P 0.5259 0.5887 0.6291
14 P 0.5259 0.9113 0.1291
15 P 0.7510 0.7472 0.4918
16 P 0.7510 0.7528 0.9918
17 N 0.0634 0.7116 0.2484
18 N 0.0634 0.7884 0.7484
19 N 0.9366 0.2116 0.2516
20 N 0.9366 0.2884 0.7516
21 O 0.0428 0.1592 0.4755
22 O 0.0428 0.3408 0.9755
23 O 0.1492 0.1415 0.0585
24 O 0.1492 0.3585 0.5585
25 O 0.2053 0.5403 0.8297
26 O 0.2053 0.9597 0.3297
27 O 0.2248 0.5859 0.6033
28 O 0.2248 0.9141 0.1033
29 O 0.3136 0.5091 0.3985
30 O 0.3136 0.9909 0.8985
31 O 0.3270 0.5087 0.0885
32 O 0.3270 0.9913 0.5885
33 O 0.3815 0.2127 0.9131
34 O 0.3815 0.2873 0.4131
35 O 0.4074 0.1196 0.7508
36 O 0.4074 0.3804 0.2508
37 O 0.4903 0.2025 0.5887
38 O 0.4903 0.2975 0.0887
39 O 0.5097 0.7025 0.9113
40 O 0.5097 0.7975 0.4113
41 O 0.5926 0.6196 0.7492
42 O 0.5926 0.8804 0.2492
43 O 0.6185 0.7127 0.5869
44 O 0.6185 0.7873 0.0869
45 O 0.6730 0.0087 0.4115
46 O 0.6730 0.4913 0.9115
47 O 0.6864 0.0091 0.1015
48 O 0.6864 0.4909 0.6015
49 O 0.7752 0.0859 0.8967
50 O 0.7752 0.4141 0.3967
51 O 0.7947 0.0403 0.6703
52 O 0.7947 0.4597 0.1703
53 O 0.8508 0.6415 0.4415
54 O 0.8508 0.8585 0.9415
55 O 0.9572 0.6592 0.0245
56 O 0.9572 0.8408 0.5245


# SbPt3
Calculated PXRD pattern, copper Kα. Input: the GGA-PBE geometry in the Materials Project.

Largest 8 diffraction maxima, by angle, 2θ = 10–90°:
2theta  I/Imax
38.01  100
42.97  18
44.77  32
63.79  22
65.18  10
75.44  14
78.01  25
81.28  11

Cell and atoms:
abc: 4.0484 4.0484 8.4197
angles: 90.00 90.00 90.00
Element x y z (fractional)
1 Sb 0.0000 0.0000 0.0000
2 Sb 0.5000 0.5000 0.5000
3 Pt 0.0000 0.0000 0.5000
4 Pt 0.0000 0.5000 0.2500
5 Pt 0.0000 0.5000 0.7500
6 Pt 0.5000 0.0000 0.2500
7 Pt 0.5000 0.0000 0.7500
8 Pt 0.5000 0.5000 0.0000


# Ce2Co3Ge4Ru
Calculated PXRD pattern, copper Kα. Input: the GGA-PBE geometry in the Materials Project.

Largest 8 diffraction maxima, by angle, 2θ = 10–90°:
2theta  I/Imax
34.52  96
35.62  100
43.94  70
50.55  25
57.04  45
63.89  22
64.16  23
75.35  24

Cell and atoms:
abc: 4.1211 4.1211 10.0437
angles: 90.00 90.00 90.00
Element x y z (fractional)
1 Ce 0.0000 0.5000 0.2460
2 Ce 0.5000 0.0000 0.7540
3 Co 0.0000 0.0000 0.0000
4 Co 0.5000 0.5000 0.0000
5 Co 0.5000 0.5000 0.5000
6 Ge 0.0000 0.5000 0.6249
7 Ge 0.0000 0.5000 0.8861
8 Ge 0.5000 0.0000 0.1139
9 Ge 0.5000 0.0000 0.3751
10 Ru 0.0000 0.0000 0.5000


# U3Al12Fe4
Calculated PXRD pattern, copper Kα. Input: the GGA-PBE geometry in the Materials Project.

Largest 8 diffraction maxima, by angle, 2θ = 10–90°:
2theta  I/Imax
15.18  75
25.56  64
30.64  37
31.42  52
37.12  100
37.74  55
41.56  34
54.02  24

Cell and atoms:
abc: 8.6910 8.6910 9.2419
angles: 90.00 90.00 120.00
Element x y z (fractional)
1 U 0.2020 0.4041 0.2500
2 U 0.2020 0.7980 0.2500
3 U 0.4041 0.2020 0.7500
4 U 0.5959 0.7980 0.2500
5 U 0.7980 0.2020 0.7500
6 U 0.7980 0.5959 0.7500
7 Al 0.0000 0.0000 0.2500
8 Al 0.0000 0.0000 0.7500
9 Al 0.1213 0.5607 0.7500
10 Al 0.1590 0.3179 0.5779
11 Al 0.1590 0.3179 0.9221
12 Al 0.1590 0.8410 0.5779
13 Al 0.1590 0.8410 0.9221
14 Al 0.3179 0.1590 0.0779
15 Al 0.3179 0.1590 0.4221
16 Al 0.3333 0.6667 0.0093
17 Al 0.3333 0.6667 0.4907
18 Al 0.4393 0.5607 0.7500
19 Al 0.4393 0.8787 0.7500
20 Al 0.5607 0.1213 0.2500
21 Al 0.5607 0.4393 0.2500
22 Al 0.6667 0.3333 0.5093
23 Al 0.6667 0.3333 0.9907
24 Al 0.6821 0.8410 0.5779
25 Al 0.6821 0.8410 0.9221
26 Al 0.8410 0.1590 0.0779
27 Al 0.8410 0.1590 0.4221
28 Al 0.8410 0.6821 0.0779
29 Al 0.8410 0.6821 0.4221
30 Al 0.8787 0.4393 0.2500
31 Fe 0.0000 0.0000 0.0000
32 Fe 0.0000 0.0000 0.5000
33 Fe 0.0000 0.5000 0.0000
34 Fe 0.0000 0.5000 0.5000
35 Fe 0.5000 0.0000 0.0000
36 Fe 0.5000 0.0000 0.5000
37 Fe 0.5000 0.5000 0.0000
38 Fe 0.5000 0.5000 0.5000


# Rb2AgSbCl6
Calculated PXRD pattern, copper Kα. Input: the GGA-PBE geometry in the Materials Project.

Largest 8 diffraction maxima, by angle, 2θ = 10–90°:
2theta  I/Imax
16.48  20
23.38  100
33.31  71
41.10  46
47.82  48
53.89  21
64.85  24
79.71  20

Cell and atoms:
abc: 7.6083 7.6083 7.6083
angles: 60.00 60.00 60.00
Element x y z (fractional)
1 Rb 0.2500 0.2500 0.2500
2 Rb 0.7500 0.7500 0.7500
3 Ag 0.0000 0.0000 0.0000
4 Sb 0.5000 0.5000 0.5000
5 Cl 0.2527 0.2527 0.7473
6 Cl 0.2527 0.7473 0.2527
7 Cl 0.2527 0.7473 0.7473
8 Cl 0.7473 0.2527 0.2527
9 Cl 0.7473 0.2527 0.7473
10 Cl 0.7473 0.7473 0.2527


# AlBiCl6
Calculated PXRD pattern, copper Kα. Input: the GGA-PBE geometry in the Materials Project.

Largest 8 diffraction maxima, by angle, 2θ = 10–90°:
2theta  I/Imax
11.08  82
14.60  24
15.21  100
16.44  26
19.22  31
25.80  43
30.65  53
33.18  28

Cell and atoms:
abc: 7.8851 12.1355 10.6592
angles: 90.00 95.88 90.00
Element x y z (fractional)
1 Al 0.0033 0.2266 0.2206
2 Al 0.0033 0.2734 0.7206
3 Al 0.9967 0.7266 0.2794
4 Al 0.9967 0.7734 0.7794
5 Bi 0.3096 0.0375 0.8501
6 Bi 0.3096 0.4625 0.3501
7 Bi 0.6904 0.5375 0.6499
8 Bi 0.6904 0.9625 0.1499
9 Cl 0.0005 0.1295 0.0520
10 Cl 0.0005 0.3705 0.5520
11 Cl 0.9995 0.6295 0.4480
12 Cl 0.9995 0.8705 0.9480
13 Cl 0.0214 0.6000 0.8212
14 Cl 0.0214 0.9000 0.3212
15 Cl 0.2046 0.6596 0.1841
16 Cl 0.2046 0.8404 0.6841
17 Cl 0.2461 0.2154 0.3350
18 Cl 0.2461 0.2846 0.8350
19 Cl 0.4876 0.6344 0.4597
20 Cl 0.4876 0.8656 0.9597
21 Cl 0.4919 0.5672 0.8085
22 Cl 0.4919 0.9328 0.3085
23 Cl 0.5081 0.0672 0.6915
24 Cl 0.5081 0.4328 0.1915
25 Cl 0.5124 0.1344 0.0403
26 Cl 0.5124 0.3656 0.5403
27 Cl 0.7539 0.7154 0.1650
28 Cl 0.7539 0.7846 0.6650
29 Cl 0.7954 0.1596 0.3159
30 Cl 0.7954 0.3404 0.8159
31 Cl 0.9786 0.1000 0.6788
32 Cl 0.9786 0.4000 0.1788


# LuMgCrS4
Calculated PXRD pattern, copper Kα. Input: the GGA-PBE geometry in the Materials Project.

Largest 8 diffraction maxima, by angle, 2θ = 10–90°:
2theta  I/Imax
14.56  100
16.73  20
27.74  66
27.92  21
28.00  26
33.80  89
36.83  21
48.56  53

Cell and atoms:
abc: 7.4946 7.4946 7.4319
angles: 119.63 119.63 60.72
Element x y z (fractional)
1 Lu 0.0000 0.5000 0.0000
2 Lu 0.5000 0.0000 0.0000
3 Mg 0.1247 0.1247 0.3752
4 Mg 0.8753 0.8753 0.6248
5 Cr 0.5000 0.5000 0.0000
6 Cr 0.5000 0.5000 0.5000
7 S 0.2690 0.2690 0.2650
8 S 0.2696 0.2696 0.7731
9 S 0.2813 0.7152 0.7492
10 S 0.2848 0.7187 0.2507
11 S 0.7152 0.2813 0.7492
12 S 0.7187 0.2848 0.2507
13 S 0.7304 0.7304 0.2269
14 S 0.7310 0.7310 0.7350